Starting from a PBE+U-relaxed structure, the X-ray diffraction stick pattern of CoHgIO6 was simulated for CuKα.
Intensities are scaled so that the largest is 100.

Peak list (10 most intense, 10 to 90 degrees two-theta, by intensity)
| index | 2theta | I/Imax |
| --- | --- | --- |
| 1 0 1 | 26.81 | 100 |
| 2 -1 2 | 50.82 | 34 |
| 1 1 0 | 35.38 | 31 |
| 2 0 1 | 44.94 | 23 |
| 3 -1 1 | 58.46 | 23 |
| 1 0 0 | 20.21 | 11 |
| 2 2 0 | 74.82 | 11 |
| 1 0 3 | 58.30 | 11 |
| 2 0 0 | 41.02 | 10 |
| 3 0 0 | 63.52 | 10 |

Structural model:
```
data_CoHgIO6
_cell_length_a 5.0736
_cell_length_b 5.0736
_cell_length_c 5.0894
_cell_angle_alpha 90.00
_cell_angle_beta 90.00
_cell_angle_gamma 120.00
_symmetry_space_group_name_H-M 'P 3 1 2'
_symmetry_Int_Tables_number 149
_symmetry_space_group_name_Hall 'P 3 2'
loop_
_atom_site_label
_atom_site_type_symbol
_atom_site_fract_x
_atom_site_fract_y
_atom_site_fract_z
Co1 Co 0.0000 0.0000 0.0000
Hg1 Hg 0.6667 0.3333 0.5000
I1 I 0.3333 0.6667 0.0000
O1 O 0.0407 0.3325 0.2102
```